Theoretical powder X-ray diffraction pattern of Th3SiGe for Cu Kα (weighted mean of Kα1 and Kα2), from a crystal structure in the Materials Project, relaxed with PBE.

Peak list (12 most intense, 10 to 80 degrees two-theta, sorted by position)
2θ (°)  intensity
24.99  19
25.10  18
26.78  33
31.23  100
31.92  19
33.25  90
35.65  32
35.77  21
43.84  22
52.42  17
53.58  17
57.77  28

Cell and atoms:
Unit cell a=7.952 b=7.952 c=4.130 alpha=90.00 beta=90.00 gamma=90.30
Fractional positions:
1 Th 0.000 0.500 0.500
2 Th 0.178 0.822 0.000
3 Th 0.317 0.317 0.000
4 Th 0.500 0.000 0.500
5 Th 0.683 0.683 0.000
6 Th 0.822 0.178 0.000
7 Si 0.113 0.113 0.500
8 Si 0.887 0.887 0.500
9 Ge 0.382 0.618 0.500
10 Ge 0.618 0.382 0.500



Theoretical powder X-ray diffraction pattern of LaGa2Pd2 for Cu Kα (weighted mean of Kα1 and Kα2), from a crystal structure in the Materials Project, relaxed with PBE.

Peak list (12 most intense, 10 to 80 degrees two-theta, sorted by position)
2θ (°)  intensity
28.41  14
33.34  68
33.57  100
40.61  71
46.05  20
49.47  23
53.52  35
58.78  24
62.48  15
65.86  19
69.41  23
77.74  8

Cell and atoms:
Unit cell a=4.443 b=4.443 c=10.123 alpha=90.00 beta=90.00 gamma=90.00
Fractional positions:
1 La 0.250 0.250 0.249
2 La 0.750 0.750 0.751
3 Ga 0.250 0.250 0.623
4 Ga 0.250 0.750 0.000
5 Ga 0.750 0.250 0.000
6 Ga 0.750 0.750 0.377
7 Pd 0.250 0.250 0.871
8 Pd 0.250 0.750 0.500
9 Pd 0.750 0.250 0.500
10 Pd 0.750 0.750 0.129



Theoretical powder X-ray diffraction pattern of Ti2ZnO4 for Cu Kα (weighted mean of Kα1 and Kα2), from a crystal structure in the Materials Project, relaxed with PBE.

Peak list (12 most intense, 10 to 80 degrees two-theta, sorted by position)
2θ (°)  intensity
31.42  14
32.84  100
33.09  50
35.91  42
40.62  31
42.77  26
49.23  16
49.34  15
50.11  17
60.70  18
62.99  15
72.88  15

Cell and atoms:
Unit cell a=9.471 b=2.951 c=10.830 alpha=90.00 beta=90.00 gamma=90.00
Fractional positions:
1 Ti 0.063 0.250 0.120
2 Ti 0.087 0.250 0.599
3 Ti 0.413 0.750 0.099
4 Ti 0.437 0.750 0.620
5 Ti 0.563 0.250 0.380
6 Ti 0.587 0.250 0.901
7 Ti 0.913 0.750 0.401
8 Ti 0.937 0.750 0.880
9 Zn 0.245 0.750 0.862
10 Zn 0.255 0.250 0.362
11 Zn 0.745 0.750 0.638
12 Zn 0.755 0.250 0.138
13 O 0.036 0.750 0.719
14 O 0.082 0.250 0.930
15 O 0.116 0.750 0.468
16 O 0.205 0.750 0.138
17 O 0.295 0.250 0.638
18 O 0.384 0.250 0.968
19 O 0.418 0.750 0.430
20 O 0.464 0.250 0.219
21 O 0.536 0.750 0.781
22 O 0.582 0.250 0.570
23 O 0.616 0.750 0.032
24 O 0.705 0.750 0.362
25 O 0.795 0.250 0.862
26 O 0.884 0.250 0.532
27 O 0.918 0.750 0.070
28 O 0.964 0.250 0.281



Theoretical powder X-ray diffraction pattern of ErMn12 for Cu Kα (weighted mean of Kα1 and Kα2), from a crystal structure in the Materials Project, relaxed with PBE.

Peak list (12 most intense, 10 to 80 degrees two-theta, sorted by position)
2θ (°)  intensity
30.88  46
34.14  16
37.88  47
38.96  17
43.59  58
43.92  100
44.88  70
50.23  19
64.35  12
65.56  15
74.01  20
78.95  11

Cell and atoms:
Unit cell a=6.311 b=6.311 c=6.311 alpha=97.71 beta=97.71 gamma=137.03
Fractional positions:
1 Er 0.000 0.000 0.000
2 Mn 0.000 0.000 0.500
3 Mn 0.000 0.362 0.362
4 Mn 0.000 0.500 0.000
5 Mn 0.000 0.638 0.638
6 Mn 0.273 0.500 0.773
7 Mn 0.362 0.000 0.362
8 Mn 0.500 0.000 0.000
9 Mn 0.500 0.273 0.773
10 Mn 0.500 0.500 0.500
11 Mn 0.500 0.727 0.227
12 Mn 0.638 0.000 0.638
13 Mn 0.727 0.500 0.227



Theoretical powder X-ray diffraction pattern of ZnSb2O4 for Cu Kα (weighted mean of Kα1 and Kα2), from a crystal structure in the Materials Project, relaxed with PBE.

Peak list (12 most intense, 10 to 80 degrees two-theta, sorted by position)
2θ (°)  intensity
29.05  15
29.18  100
30.16  25
33.01  25
33.31  17
37.49  16
38.38  26
40.97  26
43.93  15
50.67  13
56.61  18
65.78  19

Cell and atoms:
Unit cell a=5.659 b=5.659 c=11.118 alpha=90.00 beta=90.00 gamma=147.10
Fractional positions:
1 Zn 0.116 0.884 0.750
2 Zn 0.884 0.116 0.250
3 Sb 0.369 0.631 0.581
4 Sb 0.369 0.631 0.919
5 Sb 0.631 0.369 0.081
6 Sb 0.631 0.369 0.419
7 O 0.000 0.000 0.000
8 O 0.000 0.000 0.500
9 O 0.279 0.721 0.125
10 O 0.279 0.721 0.375
11 O 0.488 0.512 0.750
12 O 0.512 0.488 0.250
13 O 0.721 0.279 0.625
14 O 0.721 0.279 0.875



Please write out number 1 again, unchanged.
Theoretical powder X-ray diffraction pattern of Th3SiGe for Cu Kα (weighted mean of Kα1 and Kα2), from a crystal structure in the Materials Project, relaxed with PBE.

Peak list (12 most intense, 10 to 80 degrees two-theta, sorted by position)
2θ (°)  intensity
24.99  19
25.10  18
26.78  33
31.23  100
31.92  19
33.25  90
35.65  32
35.77  21
43.84  22
52.42  17
53.58  17
57.77  28

Cell and atoms:
Unit cell a=7.952 b=7.952 c=4.130 alpha=90.00 beta=90.00 gamma=90.30
Fractional positions:
1 Th 0.000 0.500 0.500
2 Th 0.178 0.822 0.000
3 Th 0.317 0.317 0.000
4 Th 0.500 0.000 0.500
5 Th 0.683 0.683 0.000
6 Th 0.822 0.178 0.000
7 Si 0.113 0.113 0.500
8 Si 0.887 0.887 0.500
9 Ge 0.382 0.618 0.500
10 Ge 0.618 0.382 0.500